Computed powder diffractogram of SrZr2Nb for Cu Kα (weighted mean of Kα1 and Kα2), from a PBE-relaxed structure.
Neutral-atom scattering factors, no anomalous dispersion.

Peak list (5 most intense, 2θ = 10–90°, sorted by position)
(hkl), d [Å], Rel. int.
2 2 0, 2.596, 100
4 0 0, 1.836, 17
4 2 2, 1.499, 35
4 4 0, 1.298, 11
6 2 0, 1.161, 15

Cell lengths 7.3424, 7.3424, 7.3424 Å; angles 90.00, 90.00, 90.00 degrees
Space group F-43m (No. 216)
Symmetry-distinct sites (fractional):
1 Sr 0.0000 0.0000 0.0000 x4
2 Zr 0.0000 0.0000 0.5000 x4
3 Zr 0.2500 0.2500 0.2500 x4
4 Nb 0.2500 0.2500 0.7500 x4